(1)
Structure and computed XRD peak list of Nd10Sb3Te3 (a cell relaxed with PBE; a wavelength of 1.5418 Å).

Most intense lines, 2θ from 15° to 90°, by angle:
| two_theta | intensity | h k l |
| --- | --- | --- |
| 27.67 | 18 | 0 0 2 |
| 29.18 | 31 | 2 1 0 |
| 29.83 | 17 | 1 0 2 |
| 32.39 | 100 | 2 1 1 |
| 33.20 | 66 | 3 0 0 |
| 33.78 | 92 | 1 1 2 |
| 48.09 | 25 | 2 2 2 |
| 51.18 | 17 | 3 2 1 |
| 52.00 | 26 | 2 1 3 |
| 67.72 | 18 | 3 0 4 |

Crystal structure
Cell lengths 9.3487, 9.3487, 6.4471 Å; angles 90.00, 90.00, 120.00 degrees
Space group P-62m (No. 189)
Asymmetric unit:
Nd 0.0000 0.2539 0.0000 [3 per cell]
Nd 0.0000 0.7460 0.5000 [3 per cell]
Nd 0.3333 0.6667 0.2479 [4 per cell]
Sb 0.0000 0.6141 0.0000 [3 per cell]
Te 0.0000 0.3847 0.5000 [3 per cell]

(2)
Structure and computed XRD peak list of Nd7Sb4Te4 (a cell relaxed with PBE; a wavelength of 1.5418 Å).

Most intense lines, 2θ from 15° to 90°, by angle:
| two_theta | intensity | h k l |
| --- | --- | --- |
| 17.84 | 16 | 3 1 0 |
| 21.66 | 21 | 0 0 2 |
| 28.20 | 53 | 3 1 2 |
| 30.45 | 100 | 5 0 1 |
| 32.56 | 28 | 3 3 2 |
| 33.57 | 49 | 4 2 2 |
| 34.22 | 27 | 6 0 0 |
| 43.87 | 53 | 5 0 3 |
| 44.15 | 23 | 0 0 4 |
| 64.00 | 23 | 7 3 4 |

Crystal structure
Cell lengths 15.7198, 15.7198, 8.2048 Å; angles 90.00, 90.00, 90.00 degrees
Space group I4/mmm (No. 139)
Asymmetric unit:
Nd 0.0000 0.0000 0.2416 [4 per cell]
Nd 0.0000 0.2798 0.0000 [8 per cell]
Nd 0.0000 0.3617 0.5000 [8 per cell]
Nd 0.2058 0.2058 0.5000 [8 per cell]
Sb 0.1483 0.3517 0.2500 [16 per cell]
Te 0.0000 0.1648 0.5000 [8 per cell]
Te 0.1217 0.1217 0.0000 [8 per cell]

(3)
Structure and computed XRD peak list of Nd8Sb3Te4 (a cell relaxed with PBE; a wavelength of 1.5418 Å).

Most intense lines, 2θ from 15° to 90°, by angle:
| two_theta | intensity | h k l |
| --- | --- | --- |
| 28.21 | 100 | 0 4 0 |
| 40.32 | 76 | 0 4 2 |
| 49.93 | 27 | 4 4 -4 |
| 58.30 | 9 | 0 0 4 |
| 58.41 | 4 | 8 0 -4 |
| 66.01 | 26 | 0 4 4 |
| 66.10 | 9 | 8 0 -6 |
| 73.28 | 21 | 4 4 -6 |
| 73.37 | 4 | 8 4 -6 |
| 87.09 | 4 | 0 8 4 |

Crystal structure
Cell lengths 12.6404, 12.6561, 8.9429 Å; angles 90.00, 134.91, 90.00 degrees
Space group C2/m (No. 12)
Asymmetric unit:
Nd 0.0000 0.2468 0.0000 [4 per cell]
Nd 0.0000 0.2489 0.5000 [4 per cell]
Nd 0.2443 0.0000 0.4957 [4 per cell]
Nd 0.2478 0.0000 0.0009 [4 per cell]
Sb 0.0000 0.0000 0.0000 [2 per cell]
Sb 0.2500 0.2500 0.5000 [4 per cell]
Te 0.0000 0.5000 0.0000 [2 per cell]
Te 0.0000 0.5000 0.5000 [2 per cell]
Te 0.2500 0.2500 0.0000 [4 per cell]